(1)
Calculated X-ray powder pattern
Compound: Th2InCu
Radiation: λ = 1.5418 Å (Cu Kα)
Structure: a structure optimized by DFT (PBE)
Neutral-atom scattering factors, no anomalous dispersion.

Structure:
a b c (Å): 7.5089 7.5089 7.5089
angles (deg): 90.00 90.00 90.00
Space group Fm-3m (No. 225)
Unique sites:
1 Th 0.2500 0.2500 0.2500 [8 per cell]
2 In 0.0000 0.0000 0.0000 [4 per cell]
3 Cu 0.0000 0.0000 0.5000 [4 per cell]

Most intense lines, 5° ≤ 2θ ≤ 70°, by intensity:
d = 2.655 Å, I = 1000, (2 2 0); d = 1.533 Å, I = 378, (4 2 2); d = 3.754 Å, I = 199, (2 0 0); d = 1.877 Å, I = 182, (4 0 0); d = 1.679 Å, I = 93, (4 2 0); d = 2.168 Å, I = 65, (2 2 2)



(2)
Calculated X-ray powder pattern
Compound: BaPm3As4O12
Radiation: λ = 1.5418 Å (Cu Kα)
Structure: a structure optimized by DFT (PBE)
Neutral-atom scattering factors, no anomalous dispersion.

Structure:
a b c (Å): 11.6683 11.6683 9.0768
angles (deg): 90.00 90.00 120.00
Space group R32 (No. 155, hexagonal axes)
Unique sites:
1 Ba 0.0000 0.0000 0.0000 [3 per cell]
2 Pm 0.0000 0.5653 0.0000 [9 per cell]
3 As 0.0000 0.0000 0.5000 [3 per cell]
4 As 0.0000 0.4157 0.5000 [9 per cell]
5 O 0.0000 0.5682 0.5000 [9 per cell]
6 O 0.0000 0.8346 0.5000 [9 per cell]
7 O 0.0373 0.1946 0.2066 [18 per cell]

Most intense lines, 5° ≤ 2θ ≤ 70°, by intensity:
d = 3.375 Å, I = 1000, (2 0 2); d = 3.520 Å, I = 340, (2 1 1); d = 2.678 Å, I = 308, (1 3 1); d = 2.686 Å, I = 209, (1 1 3); d = 2.070 Å, I = 208, (0 2 4); d = 1.618 Å, I = 198, (5 2 0)



(3)
Calculated X-ray powder pattern
Compound: CuIr2Rh2
Radiation: λ = 1.5418 Å (Cu Kα)
Structure: a structure optimized by DFT (PBE)
Neutral-atom scattering factors, no anomalous dispersion.

Structure:
a b c (Å): 4.6726 4.6961 7.1532
angles (deg): 70.90 83.57 70.36
Space group P-1 (No. 2)
Unique sites:
1 Cu 0.2502 0.1510 0.1978 [2 per cell]
2 Ir 0.2503 0.3512 0.7971 [2 per cell]
3 Ir 0.2500 0.9501 0.5996 [2 per cell]
4 Rh 0.2495 0.5525 0.3950 [2 per cell]
5 Rh 0.2500 0.7504 0.9995 [2 per cell]

Most intense lines, 5° ≤ 2θ ≤ 70°, by intensity:
d = 2.210 Å, I = 1000, (1 1 3); d = 1.913 Å, I = 431, (2 2 1); d = 2.200 Å, I = 330, (2 0 0); d = 1.908 Å, I = 214, (-1 1 3); d = 3.688 Å, I = 154, (1 0 -1); d = 1.355 Å, I = 138, (1 3 4)



(4)
Calculated X-ray powder pattern
Compound: YP2Pd5
Radiation: λ = 1.5418 Å (Cu Kα)
Structure: a structure optimized by DFT (PBE)
Neutral-atom scattering factors, no anomalous dispersion.

Structure:
a b c (Å): 4.0564 7.0462 9.2626
angles (deg): 90.00 90.00 90.00
Space group Immm (No. 71)
Unique sites:
1 Y 0.0000 0.0000 0.0000 [2 per cell]
2 P 0.0000 0.5000 0.2529 [4 per cell]
3 Pd 0.0000 0.1990 0.3469 [8 per cell]
4 Pd 0.0000 0.5000 0.0000 [2 per cell]

Most intense lines, 5° ≤ 2θ ≤ 70°, by intensity:
d = 2.457 Å, I = 1000, (1 0 3); d = 2.557 Å, I = 912, (1 2 1); d = 1.935 Å, I = 426, (0 2 4); d = 2.028 Å, I = 349, (2 0 0); d = 2.033 Å, I = 276, (1 3 0); d = 2.804 Å, I = 249, (0 2 2)



(5)
Calculated X-ray powder pattern
Compound: TiNb2Si6
Radiation: λ = 1.5418 Å (Cu Kα)
Structure: a structure optimized by DFT (PBE)
Neutral-atom scattering factors, no anomalous dispersion.

Structure:
a b c (Å): 4.7767 8.3020 6.6127
angles (deg): 90.00 90.00 90.00
Space group C222 (No. 21)
Unique sites:
1 Ti 0.0000 0.0000 0.0000 [2 per cell]
2 Nb 0.2500 0.2500 0.6671 [4 per cell]
3 Si 0.0000 0.3438 0.0000 [4 per cell]
4 Si 0.2449 0.4196 0.3311 [8 per cell]

Most intense lines, 5° ≤ 2θ ≤ 70°, by intensity:
d = 2.250 Å, I = 1000, (1 3 1); d = 1.938 Å, I = 624, (1 3 2); d = 3.511 Å, I = 547, (1 1 1); d = 2.204 Å, I = 346, (0 0 3); d = 2.584 Å, I = 243, (1 1 2); d = 1.360 Å, I = 191, (1 3 4)



(6)
Calculated X-ray powder pattern
Compound: MgCd3Rh
Radiation: λ = 1.5418 Å (Cu Kα)
Structure: a structure optimized by DFT (PBE)
Neutral-atom scattering factors, no anomalous dispersion.

Structure:
a b c (Å): 10.4754 8.1827 6.9204
angles (deg): 90.00 129.17 90.00
Space group C2/m (No. 12)
Unique sites:
1 Mg 0.0626 0.0000 0.2683 [4 per cell]
2 Cd 0.0717 0.5000 0.3672 [4 per cell]
3 Cd 0.2392 0.3188 0.2002 [8 per cell]
4 Rh 0.2428 0.0000 0.1215 [4 per cell]

Most intense lines, 5° ≤ 2θ ≤ 70°, by intensity:
d = 2.537 Å, I = 1000, (1 3 -1); d = 4.060 Å, I = 935, (2 0 0); d = 2.139 Å, I = 662, (3 3 -1); d = 2.641 Å, I = 617, (2 2 -2); d = 2.585 Å, I = 607, (4 0 -2); d = 2.553 Å, I = 469, (2 0 1)